1.
# Mg2Ga
Simulated powder diffraction line list, a wavelength of 1.5418 Å. Input: a PBE-relaxed structure.

Crystal structure
```
data_Mg2Ga
_symmetry_space_group_name_H-M 'P -6 2 c'
_symmetry_Int_Tables_number 190
_symmetry_space_group_name_Hall 'P -6c -2c'
_cell_length_a 7.7775
_cell_length_b 7.7775
_cell_length_c 7.0075
_cell_angle_alpha 90.00
_cell_angle_beta 90.00
_cell_angle_gamma 120.00
loop_
_atom_site_label
_atom_site_type_symbol
_atom_site_fract_x
_atom_site_fract_y
_atom_site_fract_z
_atom_site_occupancy
Mg1 Mg 0.0000 0.2780 0.0000 1
Mg2 Mg 0.0216 0.6282 0.2500 1
Ga1 Ga 0.0000 0.0000 0.2500 1
Ga2 Ga 0.3333 0.6667 0.5335 1
```

Peak list (10 most intense, 2θ from 5° to 70°, low angle first)
two_theta  I/Imax  index
22.87  94  1 1 0
28.72  58  1 0 2
34.45  52  1 1 2
37.02  88  2 0 2
40.16  100  3 0 0
43.96  71  2 1 2
46.72  18  2 2 0
63.27  19  4 1 0
66.09  37  3 2 2
67.86  29  3 0 4



2.
# MgGa3
Simulated powder diffraction line list, a wavelength of 1.5418 Å. Input: a PBE-relaxed structure.

Crystal structure
```
data_MgGa3
_symmetry_space_group_name_H-M 'I m m 2'
_symmetry_Int_Tables_number 44
_cell_length_a 3.212
_cell_length_b 9.038
_cell_length_c 5.356
_cell_angle_alpha 90.00
_cell_angle_beta 90.00
_cell_angle_gamma 90.00
loop_
_symmetry_equiv_pos_as_xyz
'x,y,z'
'-x,-y,z'
'-x,y,z'
'x,-y,z'
'x+1/2,y+1/2,z+1/2'
'-x+1/2,-y+1/2,z+1/2'
'-x+1/2,y+1/2,z+1/2'
'x+1/2,-y+1/2,z+1/2'
loop_
_atom_site_label
_atom_site_type_symbol
_atom_site_fract_x
_atom_site_fract_y
_atom_site_fract_z
_atom_site_occupancy
Mg1 Mg 0.000 0.000 0.000 1
Ga1 Ga 0.000 0.248 0.661 1
Ga2 Ga 0.000 0.500 0.003 1
```

Peak list (10 most intense, 2θ from 5° to 70°, low angle first)
two_theta  I/Imax  index
19.26  14  0 1 1
32.51  26  1 0 1
33.46  15  0 0 2
38.27  100  1 2 1
39.10  43  0 2 2
39.90  28  0 4 0
52.37  13  1 4 1
53.02  8  0 4 2
57.38  9  2 0 0
59.21  17  1 0 3



3.
# Mg2Ga
Simulated powder diffraction line list, a wavelength of 1.5418 Å. Input: a PBE-relaxed structure.

Crystal structure
```
data_Mg2Ga
_symmetry_space_group_name_H-M 'C 1 2/m 1'
_symmetry_Int_Tables_number 12
_cell_length_a 11.505
_cell_length_b 3.258
_cell_length_c 6.885
_cell_angle_alpha 90.00
_cell_angle_beta 105.19
_cell_angle_gamma 90.00
loop_
_symmetry_equiv_pos_as_xyz
'x,y,z'
'-x,-y,-z'
'-x,y,-z'
'x,-y,z'
'x+1/2,y+1/2,z'
'-x+1/2,-y+1/2,-z'
'-x+1/2,y+1/2,-z'
'x+1/2,-y+1/2,z'
loop_
_atom_site_label
_atom_site_type_symbol
_atom_site_fract_x
_atom_site_fract_y
_atom_site_fract_z
_atom_site_occupancy
Mg1 Mg 0.025 0.000 0.288 1
Mg2 Mg 0.198 0.500 0.652 1
Ga1 Ga 0.140 0.500 0.028 1
```

Peak list (10 most intense, 2θ from 5° to 70°, low angle first)
two_theta  I/Imax  index
13.33  100  0 0 1
32.54  35  1 1 1
34.92  16  2 0 2
36.33  54  4 0 -2
36.75  79  3 1 0
38.04  71  1 1 -2
38.28  34  4 0 1
40.74  28  0 0 3
48.56  21  5 1 -1
61.12  21  3 1 3



4.
# Mg2Ga
Simulated powder diffraction line list, a wavelength of 1.5418 Å. Input: a PBE-relaxed structure.

Crystal structure
```
data_Mg2Ga
_symmetry_space_group_name_H-M 'C 1 2/m 1'
_symmetry_Int_Tables_number 12
_cell_length_a 11.184
_cell_length_b 3.025
_cell_length_c 7.697
_cell_angle_alpha 90.00
_cell_angle_beta 109.78
_cell_angle_gamma 90.00
loop_
_symmetry_equiv_pos_as_xyz
'x,y,z'
'-x,-y,-z'
'-x,y,-z'
'x,-y,z'
'x+1/2,y+1/2,z'
'-x+1/2,-y+1/2,-z'
'-x+1/2,y+1/2,-z'
'x+1/2,-y+1/2,z'
loop_
_atom_site_label
_atom_site_type_symbol
_atom_site_fract_x
_atom_site_fract_y
_atom_site_fract_z
_atom_site_occupancy
Mg1 Mg 0.136 0.000 0.025 1
Mg2 Mg 0.174 0.000 0.624 1
Ga1 Ga 0.039 0.500 0.291 1
```

Peak list (10 most intense, 2θ from 5° to 70°, low angle first)
two_theta  I/Imax  index
16.85  59  2 0 0
24.64  43  2 0 -2
34.29  32  1 1 1
34.49  25  2 0 2
34.71  63  4 0 -2
37.24  33  0 0 3
37.83  100  1 1 -2
39.33  68  3 1 0
40.23  34  4 0 1
61.66  24  3 1 3



5.
# MgGa
Simulated powder diffraction line list, a wavelength of 1.5418 Å. Input: a PBE-relaxed structure.

Crystal structure
```
data_MgGa
_symmetry_space_group_name_H-M 'P -6 m 2'
_symmetry_Int_Tables_number 187
_symmetry_space_group_name_Hall 'P -6 2'
_cell_length_a 3.1387
_cell_length_b 3.1387
_cell_length_c 4.6878
_cell_angle_alpha 90.00
_cell_angle_beta 90.00
_cell_angle_gamma 120.00
loop_
_atom_site_label
_atom_site_type_symbol
_atom_site_fract_x
_atom_site_fract_y
_atom_site_fract_z
_atom_site_occupancy
Mg1 Mg 0.0000 0.0000 0.0000 1
Ga1 Ga 0.6667 0.3333 0.5000 1
```

Peak list (10 most intense, 2θ from 5° to 70°, low angle first)
two_theta  I/Imax  index
18.93  28  0 0 1
32.95  40  1 0 0
38.28  100  1 0 1
38.40  20  0 0 2
51.48  22  1 0 2
58.84  17  1 1 0
59.12  1  0 0 3
62.40  7  1 1 1
69.11  4  2 0 0
69.37  16  1 0 3



6.
# Mg2Ga
Simulated powder diffraction line list, a wavelength of 1.5418 Å. Input: a PBE-relaxed structure.

Crystal structure
```
data_Mg2Ga
_symmetry_space_group_name_H-M 'C m c m'
_symmetry_Int_Tables_number 63
_symmetry_space_group_name_Hall '-C 2c 2'
_cell_length_a 3.023
_cell_length_b 15.689
_cell_length_c 5.323
_cell_angle_alpha 90.00
_cell_angle_beta 90.00
_cell_angle_gamma 90.00
loop_
_atom_site_label
_atom_site_type_symbol
_atom_site_fract_x
_atom_site_fract_y
_atom_site_fract_z
_atom_site_occupancy
Mg1 Mg 0.000 0.060 0.250 1
Mg2 Mg 0.000 0.380 0.250 1
Ga1 Ga 0.000 0.277 0.750 1
```

Peak list (10 most intense, 2θ from 5° to 70°, low angle first)
two_theta  I/Imax  index
11.28  63  0 2 0
22.67  6  0 4 0
33.68  32  0 0 2
34.27  23  1 3 0
34.59  16  1 1 1
35.62  9  0 2 2
38.33  100  1 3 1
48.81  16  1 3 2
61.37  15  2 0 0
63.33  22  1 3 3